Calculated X-ray diffraction stick pattern of Nd3Dy3Y2 for Cu Kα X-rays, from a DFT-relaxed cell (GGA-PBE, Alexandria).
Lines closer than 0.1° are merged.

Atomic structure:
abc: 5.7625 14.6759 6.3302
angles: 90.00 90.07 90.00
Fractional coordinates of all 16 atoms:
Nd 0.2497 0.1246 0.1717
Nd 0.2497 0.3754 0.1717
Nd 0.2503 0.7500 0.6605
Nd 0.7497 0.2500 0.3395
Nd 0.7503 0.6246 0.8283
Nd 0.7503 0.8754 0.8283
Dy 0.2500 0.0011 0.6663
Dy 0.2496 0.2500 0.6736
Dy 0.2500 0.4989 0.6663
Dy 0.7500 0.5011 0.3337
Dy 0.7504 0.7500 0.3264
Dy 0.7500 0.9989 0.3337
Y 0.2505 0.6236 0.1641
Y 0.2505 0.8764 0.1641
Y 0.7495 0.1236 0.8359
Y 0.7495 0.3764 0.8359

Peak list (6 most intense, 2θ = 10–90°, by angle)
d_spacing  intensity  h k l
3.171  24  0 0 2
2.881  25  2 0 0
2.778  100  1 4 1
2.132  16  2 0 2
1.643  21  3 4 1
1.544  15  2 4 3